Record 1
NbTeP2Cl: simulated powder XRD pattern (Cu Kα X-rays), based on DFT lattice parameters and positions (PBE).
No peak broadening, texture or thermal motion is included.

Cell and atoms:
Unit cell a=4.9768 b=4.9768 c=4.6971 alpha=90.00 beta=90.00 gamma=90.00
Space group P4/mmm (No. 123)
Unique sites:
Nb1 0.0000 0.0000 0.0000 x1
Te1 0.5000 0.5000 0.5000 x1
P1 0.0000 0.5000 0.0000 x2
Cl1 0.0000 0.0000 0.5000 x1

Top 10 peaks for 2θ from 5° to 70°, by angle:
- hkl 1 1 0, 2θ = 25.31°, I = 61
- hkl 1 0 1, 2θ = 26.09°, I = 100
- hkl 1 1 1, 2θ = 31.77°, I = 29
- hkl 2 0 0, 2θ = 36.10°, I = 63
- hkl 0 0 2, 2θ = 38.33°, I = 27
- hkl 2 1 1, 2θ = 45.08°, I = 46
- hkl 1 1 2, 2θ = 46.49°, I = 23
- hkl 2 2 0, 2θ = 51.97°, I = 21
- hkl 2 0 2, 2θ = 53.66°, I = 39
- hkl 2 2 2, 2θ = 66.39°, I = 20



Record 2
PaNbCl: simulated powder XRD pattern (Cu Kα X-rays), based on DFT lattice parameters and positions (PBE).
No peak broadening, texture or thermal motion is included.

Cell and atoms:
Unit cell a=3.2005 b=5.9362 c=7.1876 alpha=87.84 beta=87.21 gamma=80.28
Space group P-1 (No. 2)
Unique sites:
Pa1 0.2497 0.1426 0.1907 x2
Nb1 0.2836 0.6370 0.1273 x2
Cl1 0.3113 0.7576 0.4725 x2

Top 10 peaks for 2θ from 5° to 70°, by angle:
- hkl 0 0 1, 2θ = 12.33°, I = 100
- hkl 1 0 1, 2θ = 30.49°, I = 90
- hkl 1 0 -1, 2θ = 31.49°, I = 73
- hkl 0 2 1, 2θ = 32.72°, I = 58
- hkl 0 2 -1, 2θ = 33.43°, I = 61
- hkl 1 0 2, 2θ = 37.15°, I = 36
- hkl 0 0 3, 2θ = 37.60°, I = 53
- hkl 1 2 0, 2θ = 38.33°, I = 47
- hkl 0 2 -2, 2θ = 40.35°, I = 50
- hkl 1 2 -1, 2θ = 41.15°, I = 47



Record 3
Nb4PbCl7: simulated powder XRD pattern (Cu Kα X-rays), based on DFT lattice parameters and positions (PBE).
No peak broadening, texture or thermal motion is included.

Cell and atoms:
Unit cell a=16.4229 b=8.1633 c=4.8139 alpha=90.00 beta=90.00 gamma=90.00
Space group Pmn2_1 (No. 31)
Unique sites:
Nb1 0.1554 0.0771 0.0000 x4
Nb2 0.2218 0.8220 0.9989 x4
Pb1 0.0000 0.7461 0.6282 x2
Cl1 0.0000 0.9912 0.0253 x2
Cl2 0.1052 0.6118 0.0086 x4
Cl3 0.1231 0.1429 0.5008 x4
Cl4 0.2297 0.7195 0.4991 x4

Top 10 peaks for 2θ from 5° to 70°, by angle:
- hkl 0 1 0, 2θ = 10.83°, I = 100
- hkl 1 1 0, 2θ = 12.11°, I = 71
- hkl 3 1 0, 2θ = 19.52°, I = 26
- hkl 2 1 1, 2θ = 24.04°, I = 45
- hkl 3 0 1, 2θ = 24.63°, I = 54
- hkl 1 2 1, 2θ = 29.20°, I = 44
- hkl 5 1 0, 2θ = 29.31°, I = 34
- hkl 4 2 0, 2θ = 30.89°, I = 34
- hkl 0 0 2, 2θ = 37.36°, I = 29
- hkl 6 1 1, 2θ = 39.44°, I = 35



Record 4
Rb2Nb3Cl9: simulated powder XRD pattern (Cu Kα X-rays), based on DFT lattice parameters and positions (PBE).
No peak broadening, texture or thermal motion is included.

Cell and atoms:
Unit cell a=10.5399 b=17.4711 c=10.0267 alpha=90.00 beta=115.53 gamma=90.00
Space group C2/m (No. 12)
Unique sites:
Rb1 0.1080 0.1601 0.3217 x8
Nb1 0.1196 0.5000 0.8790 x4
Nb2 0.1298 0.4157 0.1392 x8
Cl1 0.0000 0.3007 0.0000 x4
Cl2 0.0129 0.4007 0.3050 x8
Cl3 0.1922 0.0000 0.6733 x4
Cl4 0.2044 0.1904 0.6814 x8
Cl5 0.2071 0.1004 0.9788 x8
Cl6 0.2307 0.0000 0.2697 x4

Top 10 peaks for 2θ from 5° to 70°, by angle:
- hkl 0 0 1, 2θ = 9.78°, I = 58
- hkl 0 2 0, 2θ = 10.13°, I = 56
- hkl 1 1 0, 2θ = 10.59°, I = 88
- hkl 1 1 -1, 2θ = 11.38°, I = 100
- hkl 0 2 1, 2θ = 14.09°, I = 48
- hkl 2 0 -1, 2θ = 16.94°, I = 38
- hkl 3 1 -3, 2θ = 31.33°, I = 45
- hkl 2 4 1, 2θ = 32.14°, I = 55
- hkl 1 5 2, 2θ = 36.15°, I = 55
- hkl 4 0 -4, 2θ = 41.58°, I = 39



Record 5
RbNb4Cl7: simulated powder XRD pattern (Cu Kα X-rays), based on DFT lattice parameters and positions (PBE).
No peak broadening, texture or thermal motion is included.

Cell and atoms:
Unit cell a=16.0891 b=6.1010 c=5.8817 alpha=90.00 beta=90.00 gamma=90.00
Space group Pmn2_1 (No. 31)
Unique sites:
Rb1 0.0000 0.1972 0.0000 x2
Nb1 0.1546 0.7244 0.6463 x4
Nb2 0.2391 0.3941 0.5784 x4
Cl1 0.0000 0.6278 0.5438 x2
Cl2 0.1033 0.6787 0.0353 x4
Cl3 0.1246 0.1236 0.4770 x4
Cl4 0.2093 0.2061 0.9615 x4

Top 10 peaks for 2θ from 5° to 70°, by angle:
- hkl 2 0 0, 2θ = 11.00°, I = 100
- hkl 0 1 0, 2θ = 14.52°, I = 31
- hkl 2 1 0, 2θ = 18.25°, I = 36
- hkl 3 1 0, 2θ = 22.07°, I = 31
- hkl 3 0 1, 2θ = 22.43°, I = 64
- hkl 0 0 2, 2θ = 30.39°, I = 70
- hkl 4 1 1, 2θ = 30.66°, I = 32
- hkl 5 1 1, 2θ = 35.00°, I = 45
- hkl 6 1 1, 2θ = 39.79°, I = 84
- hkl 4 2 1, 2θ = 40.14°, I = 34



Record 6
Nb2SCl8: simulated powder XRD pattern (Cu Kα X-rays), based on DFT lattice parameters and positions (PBE).
No peak broadening, texture or thermal motion is included.

Cell and atoms:
Unit cell a=15.7798 b=8.7047 c=7.2273 alpha=90.00 beta=106.40 gamma=90.00
Space group C2/m (No. 12)
Unique sites:
Nb1 0.1330 0.0000 0.2443 x4
S1 0.0000 0.0000 0.0000 x2
Cl1 0.1315 0.2704 0.2448 x8
Cl2 0.1342 0.0000 0.5623 x4
Cl3 0.2369 0.5000 0.8358 x4

Top 10 peaks for 2θ from 5° to 70°, by angle:
- hkl 1 1 0, 2θ = 11.72°, I = 100
- hkl 2 0 -1, 2θ = 14.69°, I = 69
- hkl 1 1 -1, 2θ = 16.10°, I = 30
- hkl 1 1 1, 2θ = 18.56°, I = 28
- hkl 2 0 1, 2θ = 19.66°, I = 33
- hkl 0 2 0, 2θ = 20.38°, I = 33
- hkl 4 0 0, 2θ = 23.51°, I = 23
- hkl 0 0 2, 2θ = 25.70°, I = 16
- hkl 1 3 0, 2θ = 31.39°, I = 13
- hkl 0 4 0, 2θ = 41.50°, I = 12